Record 1
The following is a theoretical PXRD pattern of Nd3BeSe6. It was derived from a crystal structure in Alexandria, relaxed with PBE, using Cu Ka.
Intensities are scaled so that the largest is 100.

Atomic structure:
Cell: 9.388 9.388 6.382 Å, 90.00 90.00 102.04°
Element x y z (fractional)
Nd 0.126 0.874 0.500
Nd 0.220 0.435 0.418
Nd 0.435 0.220 0.918
Nd 0.565 0.780 0.418
Nd 0.780 0.565 0.918
Nd 0.874 0.126 0.000
Be 0.305 0.695 0.861
Be 0.695 0.305 0.361
Se 0.083 0.597 0.728
Se 0.145 0.172 0.700
Se 0.172 0.145 0.200
Se 0.282 0.718 0.206
Se 0.403 0.917 0.728
Se 0.452 0.548 0.745
Se 0.548 0.452 0.245
Se 0.597 0.083 0.228
Se 0.718 0.282 0.706
Se 0.828 0.855 0.700
Se 0.855 0.828 0.200
Se 0.917 0.403 0.228

Largest 10 diffraction maxima, by intensity, 2θ = 10–90°:
Position (°2θ)	I (rel.)
23.88	100
36.77	96
32.44	96
37.44	88
16.92	61
38.39	61
24.20	46
29.18	41
60.84	40
46.11	36

---

Record 2
The following is a theoretical PXRD pattern of Nd3BeSi3. It was derived from a crystal structure in Alexandria, relaxed with PBE, using Cu Ka.
Intensities are scaled so that the largest is 100.

Atomic structure:
Cell: 9.443 9.443 9.443 Å, 155.91 153.34 36.23°
Element x y z (fractional)
Nd 0.000 0.000 0.000
Nd 0.183 0.683 0.500
Nd 0.367 0.367 0.000
Be 0.616 0.116 0.500
Si 0.552 0.552 0.000
Si 0.741 0.241 0.500
Si 0.822 0.822 0.000

Largest 10 diffraction maxima, by intensity, 2θ = 10–90°:
Position (°2θ)	I (rel.)
32.22	100
27.09	71
32.32	67
21.00	37
51.34	36
29.87	31
36.70	27
50.25	27
57.39	26
60.58	25

---

Record 3
The following is a theoretical PXRD pattern of Be5Ni6. It was derived from a crystal structure in Alexandria, relaxed with PBE, using Cu Ka.
Intensities are scaled so that the largest is 100.

Atomic structure:
Cell: 6.304 6.304 6.304 Å, 146.30 131.71 60.17°
Element x y z (fractional)
Be 0.000 0.000 0.000
Be 0.165 0.665 0.500
Be 0.326 0.326 0.000
Be 0.674 0.674 0.000
Be 0.835 0.335 0.500
Ni 0.093 0.837 0.256
Ni 0.261 0.500 0.761
Ni 0.419 0.163 0.256
Ni 0.581 0.837 0.744
Ni 0.739 0.500 0.239
Ni 0.907 0.163 0.744

Largest 10 diffraction maxima, by intensity, 2θ = 10–90°:
Position (°2θ)	I (rel.)
34.80	100
50.03	61
83.92	17
49.91	16
50.17	15
73.47	13
62.28	11
62.50	11
83.74	5
84.15	4

---

Record 4
The following is a theoretical PXRD pattern of Be5Ni3. It was derived from a crystal structure in Alexandria, relaxed with PBE, using Cu Ka.
Intensities are scaled so that the largest is 100.

Atomic structure:
Cell: 5.877 5.868 3.636 Å, 72.10 71.84 36.06°
Element x y z (fractional)
Be 0.000 0.000 0.000
Be 0.125 0.125 0.375
Be 0.375 0.375 0.125
Be 0.625 0.625 0.875
Be 0.875 0.875 0.625
Ni 0.249 0.249 0.751
Ni 0.500 0.500 0.500
Ni 0.751 0.751 0.249

Largest 10 diffraction maxima, by intensity, 2θ = 10–90°:
Position (°2θ)	I (rel.)
49.39	100
49.59	99
50.19	95
33.96	94
34.76	89
35.04	87
25.92	82
61.98	60
16.79	57
35.50	40

---

Record 5
The following is a theoretical PXRD pattern of BeNi7. It was derived from a crystal structure in Alexandria, relaxed with PBE, using Cu Ka.
Intensities are scaled so that the largest is 100.

Atomic structure:
Cell: 4.916 4.916 4.916 Å, 60.00 60.00 60.00°
Element x y z (fractional)
Be 0.000 0.000 0.000
Ni 0.000 0.000 0.500
Ni 0.000 0.500 0.000
Ni 0.000 0.500 0.500
Ni 0.500 0.000 0.000
Ni 0.500 0.000 0.500
Ni 0.500 0.500 0.000
Ni 0.500 0.500 0.500

Largest 10 diffraction maxima, by intensity, 2θ = 10–90°:
Position (°2θ)	I (rel.)
45.18	100
52.66	46
77.70	27
22.15	11
25.63	6
43.16	6
36.56	5
57.81	2
59.46	2
70.36	2

---

Record 6
The following is a theoretical PXRD pattern of Be8Ni3. It was derived from a crystal structure in Alexandria, relaxed with PBE, using Cu Ka.
Intensities are scaled so that the largest is 100.

Atomic structure:
Cell: 4.159 4.159 8.867 Å, 103.76 103.76 39.06°
Element x y z (fractional)
Be 0.044 0.044 0.320
Be 0.134 0.134 0.956
Be 0.228 0.228 0.592
Be 0.322 0.322 0.226
Be 0.678 0.678 0.774
Be 0.772 0.772 0.408
Be 0.866 0.866 0.044
Be 0.956 0.956 0.680
Ni 0.404 0.404 0.856
Ni 0.500 0.500 0.500
Ni 0.596 0.596 0.144

Largest 10 diffraction maxima, by intensity, 2θ = 10–90°:
Position (°2θ)	I (rel.)
34.35	100
27.17	91
49.38	81
49.26	81
31.28	73
51.93	67
23.45	56
28.02	50
52.71	33
38.79	29

---

Question: Number 4 is which compound?
Answer: Be5Ni3